# Ca6InPd5
Theoretical powder diffractogram, Cu Kα. Input: the PBE geometry in Alexandria.

Structural model:
```
data_Ca6InPd5
_chemical_formula_sum 'Ca12 In2 Pd10'
_cell_length_a 4.9937
_cell_length_b 7.3930
_cell_length_c 15.0179
_cell_angle_alpha 90.00
_cell_angle_beta 90.00
_cell_angle_gamma 90.00
_symmetry_space_group_name_H-M 'I m m m'
_symmetry_Int_Tables_number 71
_symmetry_space_group_name_Hall '-I 2 2'
loop_
_atom_site_label
_atom_site_type_symbol
_atom_site_fract_x
_atom_site_fract_y
_atom_site_fract_z
Ca1 Ca 0.0000 0.2291 0.0000
Ca2 Ca 0.0000 0.2607 0.3281
In1 In 0.0000 0.0000 0.5000
Pd1 Pd 0.0000 0.0000 0.1705
Pd2 Pd 0.0000 0.5000 0.1542
Pd3 Pd 0.0000 0.5000 0.5000
```

The 10 most intense peaks (2θ = 15–90°), sorted by position:
| d (Å) | Rel. int. |
| --- | --- |
| 3.696 | 14 |
| 3.535 | 23 |
| 2.555 | 100 |
| 2.500 | 47 |
| 2.071 | 11 |
| 1.768 | 15 |
| 1.486 | 17 |
| 1.455 | 14 |
| 1.452 | 16 |
| 1.277 | 10 |